(1)
Theoretical powder diffraction line list of LiSc4Zn2 for Cu Ka, from a PBE-relaxed structure.
Neutral-atom scattering factors, no anomalous dispersion.

Cell and atoms:
```
data_LiSc4Zn2
_symmetry_space_group_name_H-M 'P 1'
_symmetry_Int_Tables_number 1
_symmetry_space_group_name_Hall 'P 1'
_cell_length_a 7.9940
_cell_length_b 7.9940
_cell_length_c 7.9940
_cell_angle_alpha 34.41
_cell_angle_beta 34.41
_cell_angle_gamma 34.41
loop_
_atom_site_label
_atom_site_fract_x
_atom_site_fract_y
_atom_site_fract_z
Li1 0.0000 0.0000 0.0000
Sc1 0.1325 0.1325 0.1325
Sc2 0.3865 0.3865 0.3865
Sc3 0.6135 0.6135 0.6135
Sc4 0.8675 0.8675 0.8675
Zn1 0.2576 0.2576 0.2576
Zn2 0.7424 0.7424 0.7424
```

Peak list (12 most intense, 2θ = 10–80°, in order of falling intensity)
d 2.365, I 100
d 2.321, I 77
d 3.849, I 61
d 1.657, I 25
d 1.357, I 25
d 2.001, I 24
d 3.757, I 23
d 1.365, I 15
d 2.531, I 13
d 2.015, I 10
d 1.268, I 10
d 1.719, I 8

=====

(2)
Theoretical powder diffraction line list of LiZr2Sc2 for Cu Ka, from a PBE-relaxed structure.
Neutral-atom scattering factors, no anomalous dispersion.

Cell and atoms:
```
data_LiZr2Sc2
_symmetry_space_group_name_H-M 'P 1'
_symmetry_Int_Tables_number 1
_symmetry_space_group_name_Hall 'P 1'
_cell_length_a 8.5727
_cell_length_b 8.5727
_cell_length_c 3.3561
_cell_angle_alpha 90.00
_cell_angle_beta 90.00
_cell_angle_gamma 90.00
loop_
_atom_site_label
_atom_site_fract_x
_atom_site_fract_y
_atom_site_fract_z
Li1 0.0000 0.0000 0.0000
Li2 0.5000 0.5000 0.0000
Zr1 0.1203 0.3797 0.0000
Zr2 0.3797 0.8797 0.0000
Zr3 0.6203 0.1203 0.0000
Zr4 0.8797 0.6203 0.0000
Sc1 0.1739 0.6739 0.5000
Sc2 0.3261 0.1739 0.5000
Sc3 0.6739 0.8261 0.5000
Sc4 0.8261 0.3261 0.5000
```

Peak list (12 most intense, 2θ = 10–80°, in order of falling intensity)
d 2.525, I 100
d 6.062, I 79
d 2.711, I 29
d 2.378, I 26
d 1.940, I 21
d 2.143, I 18
d 3.834, I 16
d 1.438, I 12
d 2.936, I 11
d 1.806, I 11
d 1.503, I 10
d 1.371, I 9

=====

(3)
Theoretical powder diffraction line list of LiSe5 for Cu Ka, from a PBE-relaxed structure.
Neutral-atom scattering factors, no anomalous dispersion.

Cell and atoms:
```
data_LiSe5
_symmetry_space_group_name_H-M 'P 1'
_symmetry_Int_Tables_number 1
_symmetry_space_group_name_Hall 'P 1'
_cell_length_a 12.7515
_cell_length_b 3.5193
_cell_length_c 8.9606
_cell_angle_alpha 90.00
_cell_angle_beta 125.13
_cell_angle_gamma 90.00
loop_
_atom_site_label
_atom_site_fract_x
_atom_site_fract_y
_atom_site_fract_z
Li1 0.0000 0.0000 0.0000
Li2 0.5000 0.5000 0.0000
Se1 0.0490 0.0000 0.7569
Se2 0.0503 0.5000 0.3379
Se3 0.2020 0.5000 0.2625
Se4 0.3596 0.0000 0.0455
Se5 0.3951 0.0000 0.5427
Se6 0.5490 0.5000 0.7569
Se7 0.5503 0.0000 0.3379
Se8 0.7020 0.0000 0.2625
Se9 0.8596 0.5000 0.0455
Se10 0.8951 0.5000 0.5427
```

Peak list (12 most intense, 2θ = 10–80°, in order of falling intensity)
d 4.427, I 100
d 3.270, I 62
d 2.731, I 52
d 2.844, I 51
d 3.145, I 45
d 2.473, I 38
d 2.267, I 36
d 2.415, I 33
d 7.328, I 33
d 3.335, I 30
d 2.065, I 27
d 1.887, I 25

=====

(4)
Theoretical powder diffraction line list of Li5Se for Cu Ka, from a PBE-relaxed structure.
Neutral-atom scattering factors, no anomalous dispersion.

Cell and atoms:
```
data_Li5Se
_symmetry_space_group_name_H-M 'P 1'
_symmetry_Int_Tables_number 1
_symmetry_space_group_name_Hall 'P 1'
_cell_length_a 4.0226
_cell_length_b 12.4285
_cell_length_c 3.9736
_cell_angle_alpha 90.00
_cell_angle_beta 90.00
_cell_angle_gamma 90.00
loop_
_atom_site_label
_atom_site_fract_x
_atom_site_fract_y
_atom_site_fract_z
Li1 0.0000 0.0000 0.0000
Li2 0.0000 0.1528 0.5000
Li3 0.0000 0.3391 0.0000
Li4 0.0000 0.6609 0.0000
Li5 0.0000 0.8472 0.5000
Li6 0.5000 0.1609 0.0000
Li7 0.5000 0.3472 0.5000
Li8 0.5000 0.5000 0.0000
Li9 0.5000 0.6528 0.5000
Li10 0.5000 0.8391 0.0000
Se1 0.0000 0.5000 0.5000
Se2 0.5000 0.0000 0.5000
```

Peak list (12 most intense, 2θ = 10–80°, in order of falling intensity)
d 6.214, I 100
d 2.335, I 62
d 3.827, I 59
d 2.757, I 49
d 3.348, I 44
d 3.974, I 33
d 2.886, I 29
d 1.867, I 18
d 2.448, I 17
d 3.107, I 16
d 1.763, I 13
d 1.724, I 13

=====

(5)
Theoretical powder diffraction line list of LiSiSe3 for Cu Ka, from a PBE-relaxed structure.
Neutral-atom scattering factors, no anomalous dispersion.

Cell and atoms:
```
data_LiSiSe3
_symmetry_space_group_name_H-M 'P 1'
_symmetry_Int_Tables_number 1
_symmetry_space_group_name_Hall 'P 1'
_cell_length_a 9.7561
_cell_length_b 5.9985
_cell_length_c 13.6350
_cell_angle_alpha 90.00
_cell_angle_beta 130.30
_cell_angle_gamma 90.00
loop_
_atom_site_label
_atom_site_fract_x
_atom_site_fract_y
_atom_site_fract_z
Li1 0.1297 0.1056 0.3047
Li2 0.1297 0.3944 0.8047
Li3 0.8703 0.6056 0.1953
Li4 0.8703 0.8944 0.6953
Si1 0.3977 0.6869 0.3955
Si2 0.3977 0.8131 0.8955
Si3 0.6023 0.1869 0.1045
Si4 0.6023 0.3131 0.6045
Se1 0.1279 0.7416 0.2069
Se2 0.1279 0.7584 0.7069
Se3 0.3720 0.1093 0.5575
Se4 0.3720 0.3907 0.0575
Se5 0.4215 0.6289 0.5752
Se6 0.4215 0.8711 0.0752
Se7 0.5785 0.1289 0.9248
Se8 0.5785 0.3711 0.4248
Se9 0.6280 0.6093 0.9425
Se10 0.6280 0.8907 0.4425
Se11 0.8721 0.2416 0.2931
Se12 0.8721 0.2584 0.7931
```

Peak list (12 most intense, 2θ = 10–80°, in order of falling intensity)
d 7.440, I 100
d 3.401, I 88
d 3.361, I 87
d 3.175, I 75
d 4.499, I 59
d 2.866, I 51
d 2.506, I 44
d 6.802, I 39
d 4.670, I 33
d 3.775, I 32
d 2.268, I 29
d 1.998, I 26

=====

(6)
Theoretical powder diffraction line list of LiTl2SiSe4 for Cu Ka, from a PBE-relaxed structure.
Neutral-atom scattering factors, no anomalous dispersion.

Cell and atoms:
```
data_LiTl2SiSe4
_symmetry_space_group_name_H-M 'P 1'
_symmetry_Int_Tables_number 1
_symmetry_space_group_name_Hall 'P 1'
_cell_length_a 10.2488
_cell_length_b 8.5575
_cell_length_c 7.2468
_cell_angle_alpha 90.00
_cell_angle_beta 134.99
_cell_angle_gamma 90.00
loop_
_atom_site_label
_atom_site_fract_x
_atom_site_fract_y
_atom_site_fract_z
Li1 0.0000 0.0000 0.0000
Li2 0.5000 0.5000 0.0000
Tl1 0.0000 0.2495 0.5000
Tl2 0.0000 0.4996 0.0000
Tl3 0.5000 0.9996 0.0000
Tl4 0.5000 0.7495 0.5000
Si1 0.0000 0.7499 0.5000
Si2 0.5000 0.2499 0.5000
Se1 0.1660 0.8926 0.4557
Se2 0.2102 0.6071 0.8765
Se3 0.2898 0.1071 0.1235
Se4 0.3340 0.3926 0.5443
Se5 0.6660 0.3926 0.4557
Se6 0.7102 0.1071 0.8765
Se7 0.7898 0.6071 0.1235
Se8 0.8340 0.8926 0.5443
```

Peak list (12 most intense, 2θ = 10–80°, in order of falling intensity)
d 3.285, I 100
d 3.031, I 86
d 5.531, I 47
d 2.020, I 45
d 2.562, I 34
d 1.842, I 34
d 2.654, I 28
d 2.325, I 27
d 1.643, I 25
d 1.292, I 15
d 2.141, I 13
d 1.429, I 12